Structure and computed PXRD pattern of NdNiH8Ir2 (DFT lattice parameters and positions (GGA-PBE); a wavelength of 1.5418 Å).
Intensities are scaled so that the largest is 100.

Top 10 peaks for 5 to 70 degrees two-theta, low angle first:
- (0 0 3), 16.88°, rel. 18
- (1 0 1), 22.50°, rel. 28
- (1 0 4), 31.56°, rel. 94
- (0 1 5), 36.00°, rel. 61
- (1 1 0), 38.19°, rel. 100
- (0 2 4), 50.36°, rel. 25
- (2 0 5), 53.49°, rel. 19
- (2 1 4), 64.91°, rel. 24
- (1 1 9), 66.53°, rel. 20
- (1 2 5), 67.61°, rel. 20

Crystal structure
```
data_NdNiH8Ir2
_chemical_formula_sum 'Nd3 Ni3 H24 Ir6'
_symmetry_space_group_name_H-M 'R -3 m'
_symmetry_Int_Tables_number 166
_symmetry_space_group_name_Hall '-R 3 2"'
_cell_length_a 4.7130
_cell_length_b 4.7130
_cell_length_c 15.7582
_cell_angle_alpha 90.00
_cell_angle_beta 90.00
_cell_angle_gamma 120.00
loop_
_atom_site_label
_atom_site_fract_x
_atom_site_fract_y
_atom_site_fract_z
Nd1 0.0000 0.0000 0.0000
Ni1 0.0000 0.0000 0.5000
H1 0.0000 0.0000 0.3164
H2 0.0554 0.5277 0.0878
Ir1 0.0000 0.0000 0.2139
```